[1]
Theoretical PXRD pattern
Compound: Ce2ZnNi5Rh2
Radiation: λ = 1.5418 Å (Cu Kα)
Structure: a crystal structure in Alexandria, relaxed with GGA-PBE
Intensities are scaled so that the largest is 100.

Crystal structure
a b c (Å): 8.944 8.944 3.911
angles (deg): 90.00 90.00 90.00
Fractional positions:
Ce1 0.176 0.324 0.000
Ce2 0.324 0.824 0.000
Ce3 0.676 0.176 0.000
Ce4 0.824 0.676 0.000
Zn1 0.000 0.000 0.000
Zn2 0.500 0.500 0.000
Ni1 0.000 0.500 0.500
Ni2 0.051 0.806 0.500
Ni3 0.194 0.051 0.500
Ni4 0.306 0.551 0.500
Ni5 0.449 0.306 0.500
Ni6 0.500 0.000 0.500
Ni7 0.551 0.694 0.500
Ni8 0.694 0.449 0.500
Ni9 0.806 0.949 0.500
Ni10 0.949 0.194 0.500
Rh1 0.131 0.631 0.000
Rh2 0.369 0.131 0.000
Rh3 0.631 0.869 0.000
Rh4 0.869 0.369 0.000

Top 10 peaks for 2θ = 10–90°, by angle:
2theta	intensity
30.36	15.8
36.54	20.7
39.31	100.0
41.63	28.5
42.90	25.6
43.19	28.2
46.43	29.2
46.80	16.8
64.11	15.2
65.05	14.4

[2]
Theoretical PXRD pattern
Compound: Ce2ZnNi2Rh5
Radiation: λ = 1.5418 Å (Cu Kα)
Structure: a crystal structure in Alexandria, relaxed with GGA-PBE
Intensities are scaled so that the largest is 100.

Crystal structure
a b c (Å): 9.139 9.139 3.881
angles (deg): 90.00 90.00 90.00
Fractional positions:
Ce1 0.175 0.325 0.000
Ce2 0.325 0.825 0.000
Ce3 0.675 0.175 0.000
Ce4 0.825 0.675 0.000
Zn1 0.000 0.000 0.000
Zn2 0.500 0.500 0.000
Ni1 0.125 0.625 0.000
Ni2 0.375 0.125 0.000
Ni3 0.625 0.875 0.000
Ni4 0.875 0.375 0.000
Rh1 0.000 0.500 0.500
Rh2 0.071 0.797 0.500
Rh3 0.203 0.071 0.500
Rh4 0.297 0.571 0.500
Rh5 0.429 0.297 0.500
Rh6 0.500 0.000 0.500
Rh7 0.571 0.703 0.500
Rh8 0.703 0.429 0.500
Rh9 0.797 0.929 0.500
Rh10 0.929 0.203 0.500

Top 10 peaks for 2θ = 10–90°, by angle:
2theta	intensity
31.80	31.5
36.17	19.1
38.85	100.0
40.71	46.6
41.94	16.0
42.60	36.1
44.33	13.4
46.82	29.3
63.74	24.3
81.52	11.0

[3]
Theoretical PXRD pattern
Compound: Ce6NiRu5
Radiation: λ = 1.5418 Å (Cu Kα)
Structure: a crystal structure in Alexandria, relaxed with GGA-PBE
Intensities are scaled so that the largest is 100.

Crystal structure
a b c (Å): 4.655 6.890 8.112
angles (deg): 90.71 106.39 90.78
Fractional positions:
Ce1 0.002 0.248 0.002
Ce2 0.343 0.751 0.668
Ce3 0.344 0.251 0.667
Ce4 0.656 0.749 0.333
Ce5 0.657 0.249 0.332
Ce6 0.998 0.752 0.998
Ni1 0.500 0.000 0.000
Ru1 0.060 0.502 0.311
Ru2 0.234 0.994 0.337
Ru3 0.500 0.500 0.000
Ru4 0.766 0.006 0.663
Ru5 0.940 0.498 0.689

Top 10 peaks for 2θ = 10–90°, by angle:
2theta	intensity
34.58	59.0
36.34	45.8
36.84	100.0
37.16	44.6
38.69	32.8
52.71	12.0
52.98	15.0
53.19	17.5
63.21	10.3
68.18	10.2

[4]
Theoretical PXRD pattern
Compound: Ce2Ni4S5
Radiation: λ = 1.5418 Å (Cu Kα)
Structure: a crystal structure in Alexandria, relaxed with GGA-PBE
Intensities are scaled so that the largest is 100.

Crystal structure
a b c (Å): 15.758 15.758 15.758
angles (deg): 13.70 13.70 13.70
Fractional positions:
Ce1 0.128 0.128 0.128
Ce2 0.872 0.872 0.872
Ni1 0.318 0.318 0.318
Ni2 0.414 0.414 0.414
Ni3 0.586 0.586 0.586
Ni4 0.682 0.682 0.682
S1 0.242 0.242 0.242
S2 0.365 0.365 0.365
S3 0.500 0.500 0.500
S4 0.635 0.635 0.635
S5 0.758 0.758 0.758

Top 10 peaks for 2θ = 10–90°, by angle:
2theta	intensity
17.04	30.2
28.46	77.2
30.54	30.4
31.44	34.8
34.69	100.0
41.49	38.7
48.43	76.1
51.28	23.2
57.15	16.0
60.93	18.5

[5]
Theoretical PXRD pattern
Compound: Ce2NiS4
Radiation: λ = 1.5418 Å (Cu Kα)
Structure: a crystal structure in Alexandria, relaxed with GGA-PBE
Intensities are scaled so that the largest is 100.

Crystal structure
a b c (Å): 6.470 5.797 7.796
angles (deg): 90.00 107.40 90.00
Fractional positions:
Ce1 0.236 0.250 0.432
Ce2 0.253 0.250 0.940
Ce3 0.747 0.750 0.060
Ce4 0.764 0.750 0.568
Ni1 0.260 0.750 0.190
Ni2 0.740 0.250 0.810
S1 0.071 0.750 0.386
S2 0.078 0.750 0.900
S3 0.485 0.510 0.742
S4 0.485 0.990 0.742
S5 0.515 0.010 0.258
S6 0.515 0.490 0.258
S7 0.922 0.250 0.100
S8 0.929 0.250 0.614

Top 10 peaks for 2θ = 10–90°, by angle:
2theta	intensity
21.02	73.1
28.52	68.6
28.93	28.3
30.85	51.9
31.61	61.4
35.29	100.0
39.42	45.2
42.79	47.3
46.25	42.3
46.60	30.2

[6]
Theoretical PXRD pattern
Compound: SrCeNiS4
Radiation: λ = 1.5418 Å (Cu Kα)
Structure: a crystal structure in Alexandria, relaxed with GGA-PBE
Intensities are scaled so that the largest is 100.

Crystal structure
a b c (Å): 6.712 5.651 8.291
angles (deg): 90.00 106.55 90.00
Fractional positions:
Sr1 0.229 0.250 0.436
Sr2 0.771 0.750 0.564
Ce1 0.237 0.250 0.939
Ce2 0.763 0.750 0.061
Ni1 0.262 0.750 0.179
Ni2 0.738 0.250 0.821
S1 0.068 0.750 0.359
S2 0.083 0.750 0.912
S3 0.487 0.510 0.765
S4 0.487 0.990 0.765
S5 0.513 0.010 0.235
S6 0.513 0.490 0.235
S7 0.917 0.250 0.088
S8 0.932 0.250 0.641

Top 10 peaks for 2θ = 10–90°, by angle:
2theta	intensity
11.13	86.3
20.92	82.5
27.72	100.0
29.60	56.9
30.36	72.0
31.67	77.3
33.66	96.4
34.35	74.9
42.59	77.0
43.69	57.5

[7]
Theoretical PXRD pattern
Compound: Ce3Tl4NiS8
Radiation: λ = 1.5418 Å (Cu Kα)
Structure: a crystal structure in Alexandria, relaxed with GGA-PBE
Intensities are scaled so that the largest is 100.

Crystal structure
a b c (Å): 8.139 8.139 8.828
angles (deg): 117.31 117.31 58.54
Fractional positions:
Ce1 0.000 0.000 0.000
Ce2 0.000 0.500 0.000
Ce3 0.500 0.000 0.000
Tl1 0.000 0.000 0.500
Tl2 0.000 0.500 0.500
Tl3 0.500 0.000 0.500
Tl4 0.500 0.500 0.500
Ni1 0.500 0.500 0.000
S1 0.233 0.233 0.205
S2 0.251 0.251 0.787
S3 0.256 0.708 0.181
S4 0.292 0.744 0.819
S5 0.708 0.256 0.181
S6 0.744 0.292 0.819
S7 0.749 0.749 0.213
S8 0.767 0.767 0.795

Top 10 peaks for 2θ = 10–90°, by angle:
2theta	intensity
23.70	46.9
26.42	32.5
26.83	61.6
29.59	55.0
30.33	100.0
41.16	58.9
44.54	35.6
48.30	17.6
52.03	17.4
55.29	18.1

[8]
Theoretical PXRD pattern
Compound: Ce4Ni3Sb8
Radiation: λ = 1.5418 Å (Cu Kα)
Structure: a crystal structure in Alexandria, relaxed with GGA-PBE
Intensities are scaled so that the largest is 100.

Crystal structure
a b c (Å): 4.391 4.391 18.742
angles (deg): 90.00 90.00 90.00
Fractional positions:
Ce1 0.000 0.500 0.112
Ce2 0.000 0.500 0.619
Ce3 0.500 0.000 0.381
Ce4 0.500 0.000 0.888
Ni1 0.000 0.000 0.000
Ni2 0.000 0.000 0.500
Ni3 0.500 0.500 0.500
Sb1 0.000 0.000 0.247
Sb2 0.000 0.000 0.753
Sb3 0.000 0.500 0.427
Sb4 0.000 0.500 0.930
Sb5 0.500 0.000 0.070
Sb6 0.500 0.000 0.573
Sb7 0.500 0.500 0.247
Sb8 0.500 0.500 0.753

Top 10 peaks for 2θ = 10–90°, by angle:
2theta	intensity
28.58	19.9
30.33	35.0
34.66	100.0
35.26	28.7
41.11	52.3
50.83	16.0
53.13	14.0
55.25	15.7
59.55	17.2
70.77	24.1

[9]
Theoretical PXRD pattern
Compound: CeNiSb3
Radiation: λ = 1.5418 Å (Cu Kα)
Structure: a crystal structure in Alexandria, relaxed with GGA-PBE
Intensities are scaled so that the largest is 100.

Crystal structure
a b c (Å): 12.620 6.202 6.067
angles (deg): 90.00 90.00 90.00
Fractional positions:
Ce1 0.197 0.002 0.250
Ce2 0.197 0.498 0.750
Ce3 0.803 0.502 0.250
Ce4 0.803 0.998 0.750
Ni1 0.405 0.750 0.000
Ni2 0.405 0.750 0.500
Ni3 0.595 0.250 0.000
Ni4 0.595 0.250 0.500
Sb1 0.001 0.750 0.000
Sb2 0.001 0.750 0.500
Sb3 0.273 0.507 0.250
Sb4 0.273 0.993 0.750
Sb5 0.446 0.096 0.250
Sb6 0.446 0.404 0.750
Sb7 0.554 0.596 0.250
Sb8 0.554 0.904 0.750
Sb9 0.727 0.007 0.250
Sb10 0.727 0.493 0.750
Sb11 0.999 0.250 0.000
Sb12 0.999 0.250 0.500

Top 10 peaks for 2θ = 10–90°, by angle:
2theta	intensity
28.29	26.0
29.60	31.0
32.16	79.7
32.76	51.3
35.18	100.0
35.96	36.4
36.52	34.8
41.65	82.6
56.01	25.9
69.72	28.0

[10]
Theoretical PXRD pattern
Compound: CeSc2Ni9
Radiation: λ = 1.5418 Å (Cu Kα)
Structure: a crystal structure in Alexandria, relaxed with GGA-PBE
Intensities are scaled so that the largest is 100.

Crystal structure
a b c (Å): 4.882 4.882 15.926
angles (deg): 90.00 90.00 120.00
Fractional positions:
Ce1 0.333 0.667 0.250
Ce2 0.667 0.333 0.750
Sc1 0.333 0.667 0.037
Sc2 0.333 0.667 0.463
Sc3 0.667 0.333 0.537
Sc4 0.667 0.333 0.963
Ni1 0.000 0.000 0.000
Ni2 0.000 0.000 0.250
Ni3 0.000 0.000 0.500
Ni4 0.000 0.000 0.750
Ni5 0.168 0.336 0.622
Ni6 0.168 0.336 0.878
Ni7 0.168 0.832 0.622
Ni8 0.168 0.832 0.878
Ni9 0.333 0.667 0.750
Ni10 0.336 0.168 0.122
Ni11 0.336 0.168 0.378
Ni12 0.664 0.832 0.622
Ni13 0.664 0.832 0.878
Ni14 0.667 0.333 0.250
Ni15 0.832 0.168 0.122
Ni16 0.832 0.168 0.378
Ni17 0.832 0.664 0.122
Ni18 0.832 0.664 0.378

Top 10 peaks for 2θ = 10–90°, by angle:
2theta	intensity
11.11	19.0
26.96	13.5
35.28	29.7
36.82	26.1
43.17	38.5
43.49	100.0
45.57	26.1
46.22	17.3
70.94	21.6
78.34	19.5

[11]
Theoretical PXRD pattern
Compound: SrCeNiSe4
Radiation: λ = 1.5418 Å (Cu Kα)
Structure: a crystal structure in Alexandria, relaxed with GGA-PBE
Intensities are scaled so that the largest is 100.

Crystal structure
a b c (Å): 7.050 5.879 8.647
angles (deg): 90.00 106.60 90.00
Fractional positions:
Sr1 0.235 0.250 0.435
Sr2 0.765 0.750 0.565
Ce1 0.233 0.250 0.940
Ce2 0.767 0.750 0.060
Ni1 0.250 0.750 0.177
Ni2 0.750 0.250 0.823
Se1 0.067 0.750 0.367
Se2 0.083 0.750 0.904
Se3 0.486 0.506 0.765
Se4 0.486 0.994 0.765
Se5 0.514 0.006 0.235
Se6 0.514 0.494 0.235
Se7 0.917 0.250 0.096
Se8 0.933 0.250 0.633

Top 10 peaks for 2θ = 10–90°, by angle:
2theta	intensity
10.68	64.3
28.30	83.9
28.94	100.0
32.21	83.7
32.78	68.6
33.24	84.3
37.51	51.3
37.68	49.7
40.69	56.6
41.80	69.4

[12]
Theoretical PXRD pattern
Compound: Ce3Si3Ni
Radiation: λ = 1.5418 Å (Cu Kα)
Structure: a crystal structure in Alexandria, relaxed with GGA-PBE
Intensities are scaled so that the largest is 100.

Crystal structure
a b c (Å): 9.381 9.381 9.381
angles (deg): 155.28 154.36 35.92
Fractional positions:
Ce1 0.000 0.000 0.000
Ce2 0.181 0.681 0.500
Ce3 0.369 0.369 0.000
Si1 0.548 0.548 0.000
Si2 0.742 0.242 0.500
Si3 0.821 0.821 0.000
Ni1 0.615 0.115 0.500

Top 10 peaks for 2θ = 10–90°, by angle:
2theta	intensity
26.78	53.2
30.04	17.9
32.56	100.0
33.05	61.1
37.06	19.3
41.97	19.3
43.47	22.3
45.15	19.9
51.78	30.7
57.08	25.2